Computed XRD peak list
Compound: Sr3Li2Au2
Radiation: Cu Kα, 1.54184 Å
Structure: a DFT-relaxed cell (GGA-PBE, Alexandria)
Neutral-atom scattering factors, no anomalous dispersion.

abc: 6.8534 8.0806 14.8955
angles: 90.00 90.00 90.00
Element x y z (fractional)
1 Sr 0.0859 0.0808 0.1128
2 Sr 0.0859 0.0808 0.3872
3 Sr 0.0859 0.4192 0.6128
4 Sr 0.0859 0.4192 0.8872
5 Sr 0.3849 0.7219 0.2500
6 Sr 0.3849 0.7781 0.7500
7 Sr 0.6151 0.2219 0.2500
8 Sr 0.6151 0.2781 0.7500
9 Sr 0.9141 0.5808 0.1128
10 Sr 0.9141 0.5808 0.3872
11 Sr 0.9141 0.9192 0.6128
12 Sr 0.9141 0.9192 0.8872
13 Li 0.4040 0.0696 0.5732
14 Li 0.4040 0.0696 0.9268
15 Li 0.4040 0.4304 0.0732
16 Li 0.4040 0.4304 0.4268
17 Li 0.5960 0.5696 0.5732
18 Li 0.5960 0.5696 0.9268
19 Li 0.5960 0.9304 0.0732
20 Li 0.5960 0.9304 0.4268
21 Au 0.1863 0.1272 0.7500
22 Au 0.1863 0.3728 0.2500
23 Au 0.2919 0.7500 0.0000
24 Au 0.2919 0.7500 0.5000
25 Au 0.7081 0.2500 0.0000
26 Au 0.7081 0.2500 0.5000
27 Au 0.8137 0.6272 0.7500
28 Au 0.8137 0.8728 0.2500

Top 10 peaks for 2θ from 10° to 90°, by angle:
20.76 deg, rel. 100
23.90 deg, rel. 27
24.73 deg, rel. 41
28.29 deg, rel. 48
28.48 deg, rel. 30
31.39 deg, rel. 27
32.70 deg, rel. 36
35.60 deg, rel. 29
35.82 deg, rel. 43
40.24 deg, rel. 32

Computed XRD peak list
Compound: MoPt8Rh6
Radiation: Cu Kα, 1.54184 Å
Structure: a DFT-relaxed cell (GGA-PBE, Alexandria)
Neutral-atom scattering factors, no anomalous dispersion.

abc: 6.7762 6.7762 6.7762
angles: 65.11 65.11 65.11
Element x y z (fractional)
1 Mo 0.0000 0.0000 0.0000
2 Pt 0.1431 0.4087 0.8355
3 Pt 0.1645 0.8569 0.5913
4 Pt 0.2541 0.2541 0.2541
5 Pt 0.4087 0.8355 0.1431
6 Pt 0.5913 0.1645 0.8569
7 Pt 0.7459 0.7459 0.7459
8 Pt 0.8355 0.1431 0.4087
9 Pt 0.8569 0.5913 0.1645
10 Rh 0.0817 0.6624 0.3642
11 Rh 0.3376 0.6358 0.9183
12 Rh 0.3642 0.0817 0.6624
13 Rh 0.6358 0.9183 0.3376
14 Rh 0.6624 0.3642 0.0817
15 Rh 0.9183 0.3376 0.6358

Top 10 peaks for 2θ from 10° to 90°, by angle:
29.72 deg, rel. 19
36.31 deg, rel. 30
39.41 deg, rel. 35
42.10 deg, rel. 100
42.96 deg, rel. 75
44.24 deg, rel. 25
61.72 deg, rel. 18
68.97 deg, rel. 14
76.35 deg, rel. 16
86.71 deg, rel. 15

Computed XRD peak list
Compound: Cs3Sn2PbI9
Radiation: Cu Kα, 1.54184 Å
Structure: a DFT-relaxed cell (GGA-PBE, Alexandria)
Neutral-atom scattering factors, no anomalous dispersion.

abc: 8.9195 8.9195 10.9339
angles: 90.00 90.00 120.00
Element x y z (fractional)
1 Cs 0.0000 0.0000 0.0000
2 Cs 0.3333 0.6667 0.6675
3 Cs 0.6667 0.3333 0.3325
4 Sn 0.3333 0.6667 0.1639
5 Sn 0.6667 0.3333 0.8361
6 Pb 0.0000 0.0000 0.5000
7 I 0.0000 0.5000 0.0000
8 I 0.1684 0.3367 0.3306
9 I 0.1684 0.8316 0.3306
10 I 0.3367 0.1684 0.6694
11 I 0.5000 0.0000 0.0000
12 I 0.5000 0.5000 0.0000
13 I 0.6633 0.8316 0.3306
14 I 0.8316 0.1684 0.6694
15 I 0.8316 0.6633 0.6694

Top 10 peaks for 2θ from 10° to 90°, by angle:
14.04 deg, rel. 25
19.90 deg, rel. 26
24.44 deg, rel. 59
28.29 deg, rel. 100
31.71 deg, rel. 15
40.44 deg, rel. 76
47.82 deg, rel. 27
50.09 deg, rel. 27
66.25 deg, rel. 35
73.54 deg, rel. 26

Computed XRD peak list
Compound: Er3RhPb
Radiation: Cu Kα, 1.54184 Å
Structure: a DFT-relaxed cell (GGA-PBE, Alexandria)
Neutral-atom scattering factors, no anomalous dispersion.

abc: 10.1244 10.1244 6.4371
angles: 101.94 101.94 53.25
Element x y z (fractional)
1 Er 0.1226 0.1859 0.4563
2 Er 0.1859 0.1226 0.9563
3 Er 0.2115 0.7150 0.9680
4 Er 0.2653 0.4639 0.3438
5 Er 0.2850 0.7885 0.5320
6 Er 0.4639 0.2653 0.8438
7 Er 0.5361 0.7347 0.1562
8 Er 0.7150 0.2115 0.4680
9 Er 0.7347 0.5361 0.6562
10 Er 0.7885 0.2850 0.0320
11 Er 0.8141 0.8774 0.0437
12 Er 0.8774 0.8141 0.5437
13 Rh 0.0053 0.9947 0.2500
14 Rh 0.4994 0.5006 0.2500
15 Rh 0.5006 0.4994 0.7500
16 Rh 0.9947 0.0053 0.7500
17 Pb 0.0841 0.4866 0.7985
18 Pb 0.4866 0.0841 0.2985
19 Pb 0.5134 0.9159 0.7015
20 Pb 0.9159 0.5134 0.2015

Top 10 peaks for 2θ from 10° to 90°, by angle:
28.24 deg, rel. 44
29.47 deg, rel. 43
30.71 deg, rel. 37
31.73 deg, rel. 50
33.32 deg, rel. 33
33.44 deg, rel. 92
33.81 deg, rel. 60
34.35 deg, rel. 100
36.47 deg, rel. 34
36.64 deg, rel. 58

Computed XRD peak list
Compound: BHPb2S4
Radiation: Cu Kα, 1.54184 Å
Structure: a DFT-relaxed cell (GGA-PBE, Alexandria)
Neutral-atom scattering factors, no anomalous dispersion.

abc: 8.1932 8.1932 8.1932
angles: 111.89 100.54 116.38
Element x y z (fractional)
1 B 0.5000 0.0000 0.0000
2 B 0.5000 0.5000 0.5000
3 H 0.0000 0.0000 0.0000
4 H 0.5000 0.0000 0.5000
5 Pb 0.0000 0.0000 0.5000
6 Pb 0.0000 0.5000 0.0000
7 Pb 0.0000 0.5000 0.5000
8 Pb 0.5000 0.5000 0.0000
9 S 0.1161 0.1798 0.9363
10 S 0.2566 0.8202 0.4363
11 S 0.3245 0.4007 0.5762
12 S 0.3245 0.7483 0.9238
13 S 0.6755 0.2517 0.0762
14 S 0.6755 0.5993 0.4238
15 S 0.7434 0.1798 0.5637
16 S 0.8839 0.8202 0.0637

Top 10 peaks for 2θ from 10° to 90°, by angle:
13.29 deg, rel. 60
14.08 deg, rel. 62
22.09 deg, rel. 26
23.54 deg, rel. 22
25.82 deg, rel. 100
26.76 deg, rel. 43
28.38 deg, rel. 38
34.24 deg, rel. 22
45.05 deg, rel. 28
48.16 deg, rel. 24

Computed XRD peak list
Compound: Ho7TlCd4
Radiation: Cu Kα, 1.54184 Å
Structure: a DFT-relaxed cell (GGA-PBE, Alexandria)
Neutral-atom scattering factors, no anomalous dispersion.

abc: 7.8614 7.8614 9.3339
angles: 118.76 118.76 42.93
Element x y z (fractional)
1 Ho 0.0000 0.0000 0.0000
2 Ho 0.2429 0.2429 0.7077
3 Ho 0.3104 0.3104 0.1245
4 Ho 0.4246 0.4246 0.5833
5 Ho 0.5754 0.5754 0.4167
6 Ho 0.6896 0.6896 0.8755
7 Ho 0.7571 0.7571 0.2923
8 Tl 0.5000 0.5000 0.0000
9 Cd 0.0343 0.0343 0.6888
10 Cd 0.1854 0.1854 0.3448
11 Cd 0.8146 0.8146 0.6552
12 Cd 0.9657 0.9657 0.3112

Top 10 peaks for 2θ from 10° to 90°, by angle:
28.51 deg, rel. 21
30.84 deg, rel. 47
30.97 deg, rel. 42
31.09 deg, rel. 100
32.21 deg, rel. 38
32.98 deg, rel. 45
34.33 deg, rel. 24
35.17 deg, rel. 87
44.36 deg, rel. 35
45.38 deg, rel. 30

Computed XRD peak list
Compound: Cs4InSbCl12
Radiation: Cu Kα, 1.54184 Å
Structure: a DFT-relaxed cell (GGA-PBE, Alexandria)
Neutral-atom scattering factors, no anomalous dispersion.

abc: 7.6009 7.6009 10.9485
angles: 90.00 90.00 90.00
Element x y z (fractional)
1 Cs 0.0000 0.5000 0.2167
2 Cs 0.0000 0.5000 0.7833
3 Cs 0.5000 0.0000 0.2167
4 Cs 0.5000 0.0000 0.7833
5 In 0.0000 0.0000 0.0000
6 Sb 0.5000 0.5000 0.5000
7 Cl 0.0000 0.0000 0.2344
8 Cl 0.0000 0.0000 0.7656
9 Cl 0.2386 0.2386 0.0000
10 Cl 0.2386 0.7614 0.0000
11 Cl 0.2755 0.2755 0.5000
12 Cl 0.2755 0.7245 0.5000
13 Cl 0.5000 0.5000 0.2787
14 Cl 0.5000 0.5000 0.7213
15 Cl 0.7245 0.2755 0.5000
16 Cl 0.7245 0.7245 0.5000
17 Cl 0.7614 0.2386 0.0000
18 Cl 0.7614 0.7614 0.0000

Top 10 peaks for 2θ from 10° to 90°, by angle:
14.18 deg, rel. 84
23.19 deg, rel. 100
23.41 deg, rel. 57
27.47 deg, rel. 20
28.59 deg, rel. 80
32.72 deg, rel. 31
33.34 deg, rel. 82
41.01 deg, rel. 43
47.41 deg, rel. 40
47.89 deg, rel. 35

Computed XRD peak list
Compound: Nd2Ga3Sn3
Radiation: Cu Kα, 1.54184 Å
Structure: a DFT-relaxed cell (GGA-PBE, Alexandria)
Neutral-atom scattering factors, no anomalous dispersion.

abc: 4.4250 4.5372 9.6143
angles: 90.00 90.00 90.00
Element x y z (fractional)
1 Nd 0.0000 0.0000 0.2442
2 Nd 0.0000 0.0000 0.7558
3 Ga 0.5000 0.0000 0.0000
4 Ga 0.5000 0.5000 0.2317
5 Ga 0.5000 0.5000 0.7683
6 Sn 0.0000 0.5000 0.0000
7 Sn 0.0000 0.5000 0.5000
8 Sn 0.5000 0.0000 0.5000

Top 10 peaks for 2θ from 10° to 90°, by angle:
33.89 deg, rel. 100
37.42 deg, rel. 19
39.73 deg, rel. 16
40.78 deg, rel. 15
55.72 deg, rel. 12
56.53 deg, rel. 11
65.25 deg, rel. 14
68.40 deg, rel. 13
69.85 deg, rel. 12
71.31 deg, rel. 11

Computed XRD peak list
Compound: KBC3N3F
Radiation: Cu Kα, 1.54184 Å
Structure: a DFT-relaxed cell (GGA-PBE, Alexandria)
Neutral-atom scattering factors, no anomalous dispersion.

abc: 6.6743 7.5651 7.7652
angles: 67.16 72.63 86.73
Element x y z (fractional)
1 K 0.1685 0.4262 0.2352
2 K 0.8315 0.5738 0.7648
3 B 0.3727 0.1341 0.6985
4 B 0.6273 0.8659 0.3015
5 C 0.2236 0.2200 0.8473
6 C 0.4003 0.9132 0.8191
7 C 0.4010 0.7509 0.3897
8 C 0.5990 0.2491 0.6103
9 C 0.5997 0.0868 0.1809
10 C 0.7764 0.7800 0.1527
11 N 0.1168 0.2867 0.9522
12 N 0.2374 0.6663 0.4530
13 N 0.4225 0.7526 0.9070
14 N 0.5775 0.2474 0.0930
15 N 0.7626 0.3337 0.5470
16 N 0.8832 0.7133 0.0478
17 F 0.2838 0.1544 0.5470
18 F 0.7162 0.8456 0.4530

Top 10 peaks for 2θ from 10° to 90°, by angle:
19.54 deg, rel. 100
22.01 deg, rel. 36
22.92 deg, rel. 56
24.18 deg, rel. 69
28.64 deg, rel. 40
29.07 deg, rel. 43
30.12 deg, rel. 32
31.45 deg, rel. 41
33.75 deg, rel. 45
34.66 deg, rel. 31